Diffraction record for BaLa3Ni2O8. The powder X-ray diffraction pattern is calculated, not measured: it uses a crystal structure in the Materials Project, relaxed with PBE+U and Cu Kα.

Most intense lines, 5 to 70 degrees two-theta, low angle first:
2θ = 23.9°, d 3.730, I = 222; 2θ = 31.0°, d 2.885, I = 1000; 2θ = 32.4°, d 2.764, I = 352; 2θ = 32.6°, d 2.746, I = 345; 2θ = 42.1°, d 2.148, I = 284; 2θ = 43.1°, d 2.097, I = 146; 2θ = 46.6°, d 1.948, I = 349; 2θ = 56.9°, d 1.618, I = 184; 2θ = 57.2°, d 1.611, I = 224; 2θ = 64.6°, d 1.442, I = 150

Unit cell a=5.5289 b=5.4925 c=12.8770 alpha=90.00 beta=90.00 gamma=90.00
Space group Amm2 (No. 38)
Asymmetric unit:
1 Ba 0.0000 0.0000 0.0000 (multiplicity 2)
2 La 0.0000 0.0000 0.7191 (multiplicity 2)
3 La 0.5000 0.0000 0.2160 (multiplicity 2)
4 La 0.5000 0.0000 0.4934 (multiplicity 2)
5 Ni 0.0000 0.0000 0.3574 (multiplicity 2)
6 Ni 0.5000 0.0000 0.8588 (multiplicity 2)
7 O 0.0000 0.0000 0.1980 (multiplicity 2)
8 O 0.0000 0.0000 0.5333 (multiplicity 2)
9 O 0.2621 0.2488 0.3492 (multiplicity 8)
10 O 0.5000 0.0000 0.0321 (multiplicity 2)
11 O 0.5000 0.0000 0.6732 (multiplicity 2)